(1)
Diffraction record for Pm3Ho. The X-ray diffraction stick pattern is simulated, not measured: it uses a structure optimized by DFT (GGA-PBE) and Cu Kα X-rays.
Lines closer than 0.1° are merged.

Crystal structure
```
Pm3Ho
1.0
7.301 0.000 0.000
-3.651 6.323 0.000
0.000 0.000 5.924
Pm Ho
6 2
Direct
0.168 0.335 0.250
0.168 0.832 0.250
0.335 0.168 0.750
0.665 0.832 0.250
0.832 0.168 0.750
0.832 0.665 0.750
0.333 0.667 0.750
0.667 0.333 0.250
```

Principal peaks in the range 15° ≤ 2θ ≤ 90°, by intensity:
| 2θ (°) | I (rel.) |
| --- | --- |
| 32.1 | 100 |
| 30.2 | 26 |
| 28.2 | 23 |
| 59.5 | 23 |
| 54.8 | 22 |
| 50.0 | 19 |
| 60.6 | 16 |
| 41.8 | 16 |

---

(2)
Diffraction record for Pm3Ho. The X-ray diffraction stick pattern is simulated, not measured: it uses a structure optimized by DFT (GGA-PBE) and Cu Kα X-rays.
Lines closer than 0.1° are merged.

Crystal structure
```
Pm3Ho
1.0
-2.556 2.556 5.162
2.556 -2.556 5.162
2.556 2.556 -5.162
Pm Ho
3 1
Direct
0.000 0.000 0.000
0.250 0.750 0.500
0.750 0.250 0.500
0.500 0.500 0.000
```

Principal peaks in the range 15° ≤ 2θ ≤ 90°, by intensity:
| 2θ (°) | I (rel.) |
| --- | --- |
| 30.2 | 100 |
| 35.1 | 33 |
| 60.0 | 29 |
| 50.2 | 24 |
| 34.8 | 17 |
| 59.5 | 15 |
| 62.8 | 12 |
| 50.5 | 12 |

---

(3)
Diffraction record for PmHo. The X-ray diffraction stick pattern is simulated, not measured: it uses a structure optimized by DFT (GGA-PBE) and Cu Kα X-rays.
Lines closer than 0.1° are merged.

Crystal structure
```
PmHo
1.0
3.643 0.000 0.000
-1.822 3.155 0.000
0.000 0.000 5.769
Pm Ho
1 1
Direct
0.000 0.000 0.000
0.333 0.667 0.500
```

Principal peaks in the range 15° ≤ 2θ ≤ 90°, by intensity:
| 2θ (°) | I (rel.) |
| --- | --- |
| 32.3 | 100 |
| 31.0 | 25 |
| 28.3 | 24 |
| 60.1 | 23 |
| 56.0 | 21 |
| 50.1 | 20 |
| 60.9 | 16 |
| 42.5 | 16 |

---

(4)
Diffraction record for PmHo3. The X-ray diffraction stick pattern is simulated, not measured: it uses a structure optimized by DFT (GGA-PBE) and Cu Kα X-rays.
Lines closer than 0.1° are merged.

Crystal structure
```
PmHo3
1.0
7.258 0.000 0.000
-3.629 6.286 0.000
0.000 0.000 5.693
Pm Ho
2 6
Direct
0.333 0.667 0.250
0.667 0.333 0.750
0.165 0.331 0.750
0.165 0.835 0.750
0.331 0.165 0.250
0.669 0.835 0.750
0.835 0.165 0.250
0.835 0.669 0.250
```

Principal peaks in the range 15° ≤ 2θ ≤ 90°, by intensity:
| 2θ (°) | I (rel.) |
| --- | --- |
| 32.5 | 100 |
| 31.4 | 24 |
| 28.4 | 24 |
| 60.5 | 23 |
| 56.7 | 21 |
| 50.3 | 20 |
| 61.2 | 16 |
| 42.9 | 16 |

---

(5)
Diffraction record for PmHoTl2. The X-ray diffraction stick pattern is simulated, not measured: it uses a structure optimized by DFT (GGA-PBE) and Cu Kα X-rays.
Lines closer than 0.1° are merged.

Crystal structure
```
PmHoTl2
1.0
0.000 3.838 3.838
3.838 0.000 3.838
3.838 3.838 0.000
Pm Ho Tl
1 1 2
Direct
0.000 0.000 0.000
0.500 0.500 0.500
0.250 0.250 0.250
0.750 0.750 0.750
```

Principal peaks in the range 15° ≤ 2θ ≤ 90°, by intensity:
| 2θ (°) | I (rel.) |
| --- | --- |
| 33.0 | 100 |
| 59.0 | 39 |
| 47.4 | 18 |
| 78.9 | 17 |
| 69.2 | 12 |
| 88.2 | 4 |
| 23.2 | 2 |
| 53.4 | 1 |

---

(6)
Diffraction record for PmHoZn2. The X-ray diffraction stick pattern is simulated, not measured: it uses a structure optimized by DFT (GGA-PBE) and Cu Kα X-rays.
Lines closer than 0.1° are merged.

Crystal structure
```
PmHoZn2
1.0
0.000 3.602 3.602
3.602 0.000 3.602
3.602 3.602 0.000
Pm Ho Zn
1 1 2
Direct
0.000 0.000 0.000
0.500 0.500 0.500
0.250 0.250 0.250
0.750 0.750 0.750
```

Principal peaks in the range 15° ≤ 2θ ≤ 90°, by intensity:
| 2θ (°) | I (rel.) |
| --- | --- |
| 35.2 | 100 |
| 63.2 | 36 |
| 50.7 | 18 |
| 24.7 | 17 |
| 85.2 | 16 |
| 74.5 | 11 |
| 57.2 | 7 |
| 43.5 | 5 |

---

(7)
Diffraction record for Pr4Ho11S22. The X-ray diffraction stick pattern is simulated, not measured: it uses a structure optimized by DFT (GGA-PBE) and Cu Kα X-rays.
Lines closer than 0.1° are merged.

Crystal structure
```
Pr4Ho11S22
1.0
19.616 -1.978 0.000
19.616 1.978 0.000
-0.308 0.000 11.376
Pr Ho S
4 11 22
Direct
0.104 0.104 0.012
0.367 0.367 0.348
0.633 0.633 0.652
0.896 0.896 0.988
0.000 0.000 0.000
0.069 0.069 0.360
0.202 0.202 0.942
0.264 0.264 0.352
0.342 0.342 0.698
0.462 0.462 0.271
0.538 0.538 0.729
0.658 0.658 0.302
0.736 0.736 0.648
0.798 0.798 0.058
0.931 0.931 0.640
0.008 0.008 0.239
0.087 0.087 0.753
0.134 0.134 0.454
0.168 0.168 0.151
0.189 0.189 0.692
0.255 0.255 0.119
0.280 0.280 0.590
0.351 0.351 0.092
0.407 0.407 0.788
0.446 0.446 0.495
0.453 0.453 0.031
0.547 0.547 0.969
0.554 0.554 0.505
0.593 0.593 0.212
0.649 0.649 0.908
0.720 0.720 0.410
0.745 0.745 0.881
0.811 0.811 0.308
0.832 0.832 0.849
0.866 0.866 0.546
0.913 0.913 0.247
0.992 0.992 0.761
```

Principal peaks in the range 15° ≤ 2θ ≤ 90°, by intensity:
| 2θ (°) | I (rel.) |
| --- | --- |
| 24.2 | 100 |
| 23.5 | 81 |
| 27.6 | 64 |
| 31.4 | 63 |
| 26.3 | 59 |
| 33.8 | 57 |
| 42.0 | 55 |
| 27.3 | 47 |

---

(8)
Diffraction record for PrHoZn2. The X-ray diffraction stick pattern is simulated, not measured: it uses a structure optimized by DFT (GGA-PBE) and Cu Kα X-rays.
Lines closer than 0.1° are merged.

Crystal structure
```
PrHoZn2
1.0
0.000 3.631 3.631
3.631 0.000 3.631
3.631 3.631 0.000
Pr Ho Zn
1 1 2
Direct
0.000 0.000 0.000
0.500 0.500 0.500
0.250 0.250 0.250
0.750 0.750 0.750
```

Principal peaks in the range 15° ≤ 2θ ≤ 90°, by intensity:
| 2θ (°) | I (rel.) |
| --- | --- |
| 34.9 | 100 |
| 62.7 | 36 |
| 50.3 | 18 |
| 24.5 | 16 |
| 84.3 | 16 |
| 73.8 | 11 |
| 56.7 | 7 |
| 43.1 | 5 |

---

(9)
Diffraction record for HoPt2. The X-ray diffraction stick pattern is simulated, not measured: it uses a structure optimized by DFT (GGA-PBE) and Cu Kα X-rays.
Lines closer than 0.1° are merged.

Crystal structure
```
HoPt2
1.0
0.000 3.840 3.840
3.840 0.000 3.840
3.840 3.840 0.000
Ho Pt
2 4
Direct
0.125 0.125 0.125
0.875 0.875 0.875
0.000 0.500 0.500
0.500 0.000 0.500
0.500 0.500 0.000
0.500 0.500 0.500
```

Principal peaks in the range 15° ≤ 2θ ≤ 90°, by intensity:
| 2θ (°) | I (rel.) |
| --- | --- |
| 38.9 | 100 |
| 40.7 | 46 |
| 62.9 | 33 |
| 69.2 | 30 |
| 33.0 | 22 |
| 83.5 | 18 |
| 82.3 | 12 |
| 20.0 | 11 |

---

(10)
Diffraction record for Ho2Pt. The X-ray diffraction stick pattern is simulated, not measured: it uses a structure optimized by DFT (GGA-PBE) and Cu Kα X-rays.
Lines closer than 0.1° are merged.

Crystal structure
```
Ho2Pt
1.0
7.163 0.000 0.000
0.000 4.754 0.000
0.000 0.000 8.742
Ho Pt
8 4
Direct
0.011 0.250 0.168
0.144 0.250 0.580
0.356 0.750 0.080
0.489 0.750 0.668
0.511 0.250 0.332
0.644 0.250 0.920
0.856 0.750 0.420
0.989 0.750 0.832
0.243 0.250 0.908
0.257 0.750 0.408
0.743 0.250 0.592
0.757 0.750 0.092
```

Principal peaks in the range 15° ≤ 2θ ≤ 90°, by intensity:
| 2θ (°) | I (rel.) |
| --- | --- |
| 32.9 | 100 |
| 30.5 | 83 |
| 36.2 | 71 |
| 37.9 | 66 |
| 31.3 | 32 |
| 44.4 | 32 |
| 43.7 | 27 |
| 32.3 | 24 |

---

(11)
Diffraction record for Ho5Pt4. The X-ray diffraction stick pattern is simulated, not measured: it uses a structure optimized by DFT (GGA-PBE) and Cu Kα X-rays.
Lines closer than 0.1° are merged.

Crystal structure
```
Ho5Pt4
1.0
7.457 0.000 0.000
0.000 14.703 0.000
0.000 0.000 7.555
Ho Pt
20 16
Direct
0.001 0.093 0.180
0.001 0.407 0.180
0.157 0.122 0.668
0.157 0.378 0.668
0.182 0.750 0.513
0.318 0.250 0.013
0.343 0.622 0.168
0.343 0.878 0.168
0.499 0.593 0.680
0.499 0.907 0.680
0.501 0.093 0.320
0.501 0.407 0.320
0.657 0.122 0.832
0.657 0.378 0.832
0.682 0.750 0.987
0.818 0.250 0.487
0.843 0.622 0.332
0.843 0.878 0.332
0.999 0.593 0.820
0.999 0.907 0.820
0.046 0.750 0.112
0.183 0.542 0.467
0.183 0.958 0.467
0.184 0.250 0.357
0.316 0.750 0.857
0.317 0.042 0.967
0.317 0.458 0.967
0.454 0.250 0.612
0.546 0.750 0.388
0.683 0.542 0.033
0.683 0.958 0.033
0.684 0.250 0.143
0.816 0.750 0.643
0.817 0.042 0.533
0.817 0.458 0.533
0.954 0.250 0.888
```

Principal peaks in the range 15° ≤ 2θ ≤ 90°, by intensity:
| 2θ (°) | I (rel.) |
| --- | --- |
| 32.2 | 100 |
| 32.4 | 85 |
| 38.1 | 73 |
| 38.2 | 49 |
| 34.0 | 38 |
| 36.3 | 33 |
| 34.9 | 31 |
| 34.3 | 31 |

---

(12)
Diffraction record for HoPt. The X-ray diffraction stick pattern is simulated, not measured: it uses a structure optimized by DFT (GGA-PBE) and Cu Kα X-rays.
Lines closer than 0.1° are merged.

Crystal structure
```
HoPt
1.0
6.987 0.000 0.000
0.000 4.527 0.000
0.000 0.000 5.565
Ho Pt
4 4
Direct
0.181 0.250 0.137
0.319 0.750 0.637
0.681 0.250 0.363
0.819 0.750 0.863
0.044 0.250 0.652
0.456 0.750 0.152
0.544 0.250 0.848
0.956 0.750 0.348
```

Principal peaks in the range 15° ≤ 2θ ≤ 90°, by intensity:
| 2θ (°) | I (rel.) |
| --- | --- |
| 36.3 | 100 |
| 40.2 | 97 |
| 32.4 | 75 |
| 39.8 | 54 |
| 34.7 | 47 |
| 53.8 | 27 |
| 55.1 | 27 |
| 42.1 | 23 |

---

(13)
Diffraction record for HoPt3. The X-ray diffraction stick pattern is simulated, not measured: it uses a structure optimized by DFT (GGA-PBE) and Cu Kα X-rays.
Lines closer than 0.1° are merged.

Crystal structure
```
HoPt3
1.0
4.112 0.000 0.000
0.000 4.112 0.000
0.000 0.000 4.112
Ho Pt
1 3
Direct
0.000 0.000 0.000
0.000 0.500 0.500
0.500 0.000 0.500
0.500 0.500 0.000
```

Principal peaks in the range 15° ≤ 2θ ≤ 90°, by intensity:
| 2θ (°) | I (rel.) |
| --- | --- |
| 37.9 | 100 |
| 44.0 | 49 |
| 76.9 | 39 |
| 64.0 | 33 |
| 81.0 | 11 |